No. 1
Theoretical XRD peak list of HfMg14Si for λ = 1.5418 Å (Cu Kα), from a crystal structure in the Materials Project, relaxed with GGA-PBE.

Peak list (10 most intense, 10 to 80 degrees two-theta, in order of falling intensity)
- 2θ 37.50, rel. 100
- 2θ 18.50, rel. 49
- 2θ 16.31, rel. 40
- 2θ 32.97, rel. 28
- 2θ 23.91, rel. 28
- 2θ 35.15, rel. 26
- 2θ 64.61, rel. 19
- 2θ 70.46, rel. 19
- 2θ 48.96, rel. 18
- 2θ 58.88, rel. 17

Cell and atoms:
Unit cell a=6.274 b=6.274 c=10.214 alpha=90.00 beta=90.00 gamma=120.00
Fractional coordinates of all 16 atoms:
1 Hf 0.000 0.000 0.000
2 Mg 0.005 0.502 0.000
3 Mg 0.161 0.323 0.252
4 Mg 0.161 0.323 0.748
5 Mg 0.161 0.839 0.252
6 Mg 0.161 0.839 0.748
7 Mg 0.498 0.502 0.000
8 Mg 0.498 0.995 0.000
9 Mg 0.501 0.002 0.500
10 Mg 0.501 0.499 0.500
11 Mg 0.667 0.333 0.244
12 Mg 0.667 0.333 0.756
13 Mg 0.677 0.839 0.252
14 Mg 0.677 0.839 0.748
15 Mg 0.998 0.499 0.500
16 Si 0.000 0.000 0.500

---

No. 2
Theoretical XRD peak list of HfMg6Sn for λ = 1.5418 Å (Cu Kα), from a crystal structure in the Materials Project, relaxed with GGA-PBE.

Peak list (10 most intense, 10 to 80 degrees two-theta, in order of falling intensity)
- 2θ 15.80, rel. 100
- 2θ 36.77, rel. 82
- 2θ 37.22, rel. 44
- 2θ 33.23, rel. 43
- 2θ 24.05, rel. 35
- 2θ 36.05, rel. 30
- 2θ 23.89, rel. 27
- 2θ 31.91, rel. 24
- 2θ 39.58, rel. 21
- 2θ 57.51, rel. 21

Cell and atoms:
Unit cell a=4.982 b=6.511 c=11.049 alpha=90.00 beta=90.00 gamma=90.00
Fractional coordinates of all 16 atoms:
1 Hf 0.000 0.000 0.000
2 Hf 0.000 0.500 0.500
3 Mg 0.000 0.000 0.497
4 Mg 0.000 0.245 0.750
5 Mg 0.000 0.255 0.250
6 Mg 0.000 0.500 0.997
7 Mg 0.000 0.745 0.250
8 Mg 0.000 0.755 0.750
9 Mg 0.500 0.000 0.664
10 Mg 0.500 0.249 0.414
11 Mg 0.500 0.251 0.914
12 Mg 0.500 0.500 0.164
13 Mg 0.500 0.749 0.914
14 Mg 0.500 0.751 0.414
15 Sn 0.500 0.000 0.159
16 Sn 0.500 0.500 0.659

---

No. 3
Theoretical XRD peak list of HfMg14Sn for λ = 1.5418 Å (Cu Kα), from a crystal structure in the Materials Project, relaxed with GGA-PBE.

Peak list (10 most intense, 10 to 80 degrees two-theta, in order of falling intensity)
- 2θ 36.93, rel. 100
- 2θ 16.09, rel. 69
- 2θ 23.53, rel. 54
- 2θ 32.51, rel. 32
- 2θ 63.43, rel. 27
- 2θ 34.51, rel. 26
- 2θ 33.02, rel. 24
- 2θ 48.13, rel. 21
- 2θ 70.76, rel. 20
- 2θ 47.01, rel. 20

Cell and atoms:
Unit cell a=6.361 b=6.361 c=10.397 alpha=90.00 beta=90.00 gamma=120.00
Fractional coordinates of all 16 atoms:
1 Hf 0.000 0.000 0.000
2 Mg 0.005 0.502 0.000
3 Mg 0.163 0.326 0.246
4 Mg 0.163 0.326 0.754
5 Mg 0.163 0.837 0.246
6 Mg 0.163 0.837 0.754
7 Mg 0.498 0.502 0.000
8 Mg 0.498 0.995 0.000
9 Mg 0.501 0.002 0.500
10 Mg 0.501 0.499 0.500
11 Mg 0.667 0.333 0.243
12 Mg 0.667 0.333 0.757
13 Mg 0.674 0.837 0.246
14 Mg 0.674 0.837 0.754
15 Mg 0.998 0.499 0.500
16 Sn 0.000 0.000 0.500

---

No. 4
Theoretical XRD peak list of HfMg14Sn for λ = 1.5418 Å (Cu Kα), from a crystal structure in the Materials Project, relaxed with GGA-PBE.

Peak list (10 most intense, 10 to 80 degrees two-theta, in order of falling intensity)
- 2θ 37.17, rel. 100
- 2θ 36.74, rel. 52
- 2θ 18.13, rel. 52
- 2θ 34.82, rel. 38
- 2θ 15.95, rel. 35
- 2θ 32.69, rel. 32
- 2θ 17.21, rel. 29
- 2θ 23.54, rel. 28
- 2θ 33.37, rel. 24
- 2θ 69.22, rel. 23

Cell and atoms:
Unit cell a=10.307 b=6.388 c=6.388 alpha=59.05 beta=90.00 gamma=90.00
Fractional coordinates of all 16 atoms:
1 Hf 0.000 0.000 0.000
2 Mg 0.000 0.001 0.498
3 Mg 0.000 0.498 0.001
4 Mg 0.249 0.164 0.164
5 Mg 0.250 0.164 0.668
6 Mg 0.250 0.666 0.666
7 Mg 0.250 0.668 0.164
8 Mg 0.500 0.499 0.499
9 Mg 0.500 0.500 0.999
10 Mg 0.500 0.999 0.500
11 Mg 0.500 0.999 0.999
12 Mg 0.750 0.164 0.668
13 Mg 0.750 0.666 0.666
14 Mg 0.750 0.668 0.164
15 Mg 0.751 0.164 0.164
16 Sn 0.000 0.499 0.499

---

No. 5
Theoretical XRD peak list of HfMg6Sn for λ = 1.5418 Å (Cu Kα), from a crystal structure in the Materials Project, relaxed with GGA-PBE.

Peak list (10 most intense, 10 to 80 degrees two-theta, in order of falling intensity)
- 2θ 37.66, rel. 100
- 2θ 15.78, rel. 74
- 2θ 17.06, rel. 63
- 2θ 23.32, rel. 62
- 2θ 36.37, rel. 58
- 2θ 33.31, rel. 42
- 2θ 34.51, rel. 39
- 2θ 48.72, rel. 29
- 2θ 33.97, rel. 24
- 2θ 31.87, rel. 22

Cell and atoms:
Unit cell a=5.198 b=6.128 c=11.231 alpha=90.00 beta=90.00 gamma=90.00
Fractional coordinates of all 16 atoms:
1 Hf 0.000 0.000 0.000
2 Hf 0.000 0.500 0.500
3 Mg 0.000 0.249 0.248
4 Mg 0.000 0.251 0.748
5 Mg 0.000 0.749 0.748
6 Mg 0.000 0.751 0.248
7 Mg 0.500 0.000 0.161
8 Mg 0.500 0.000 0.665
9 Mg 0.500 0.243 0.911
10 Mg 0.500 0.257 0.411
11 Mg 0.500 0.500 0.165
12 Mg 0.500 0.500 0.661
13 Mg 0.500 0.743 0.411
14 Mg 0.500 0.757 0.911
15 Sn 0.000 0.000 0.497
16 Sn 0.000 0.500 0.997

---

No. 6
Theoretical XRD peak list of SrHfMg14 for λ = 1.5418 Å (Cu Kα), from a crystal structure in the Materials Project, relaxed with GGA-PBE.

Peak list (10 most intense, 10 to 80 degrees two-theta, in order of falling intensity)
- 2θ 35.91, rel. 100
- 2θ 36.11, rel. 44
- 2θ 17.83, rel. 39
- 2θ 34.34, rel. 35
- 2θ 23.16, rel. 28
- 2θ 31.40, rel. 28
- 2θ 15.67, rel. 26
- 2θ 16.98, rel. 23
- 2θ 32.58, rel. 19
- 2θ 62.52, rel. 19

Cell and atoms:
Unit cell a=10.446 b=6.548 c=6.548 alpha=60.48 beta=90.00 gamma=90.00
Fractional coordinates of all 16 atoms:
1 Sr 0.000 0.000 0.000
2 Hf 0.000 0.488 0.488
3 Mg 0.000 0.000 0.500
4 Mg 0.000 0.500 0.000
5 Mg 0.244 0.663 0.663
6 Mg 0.258 0.175 0.655
7 Mg 0.258 0.655 0.175
8 Mg 0.261 0.172 0.172
9 Mg 0.500 0.500 0.500
10 Mg 0.500 0.502 0.995
11 Mg 0.500 0.995 0.502
12 Mg 0.500 0.998 0.998
13 Mg 0.739 0.172 0.172
14 Mg 0.742 0.175 0.655
15 Mg 0.742 0.655 0.175
16 Mg 0.756 0.663 0.663

---

No. 7
Theoretical XRD peak list of SrHfMg14 for λ = 1.5418 Å (Cu Kα), from a crystal structure in the Materials Project, relaxed with GGA-PBE.

Peak list (10 most intense, 10 to 80 degrees two-theta, in order of falling intensity)
- 2θ 35.94, rel. 100
- 2θ 15.53, rel. 55
- 2θ 23.20, rel. 47
- 2θ 31.35, rel. 31
- 2θ 34.67, rel. 23
- 2θ 32.21, rel. 20
- 2θ 47.43, rel. 20
- 2θ 67.39, rel. 19
- 2θ 62.97, rel. 18
- 2θ 55.80, rel. 18

Cell and atoms:
Unit cell a=6.590 b=6.590 c=10.349 alpha=90.00 beta=90.00 gamma=120.00
Fractional coordinates of all 16 atoms:
1 Sr 0.000 0.000 0.000
2 Hf 0.000 0.000 0.500
3 Mg 0.000 0.500 0.500
4 Mg 0.010 0.505 0.000
5 Mg 0.169 0.338 0.261
6 Mg 0.169 0.338 0.739
7 Mg 0.169 0.831 0.261
8 Mg 0.169 0.831 0.739
9 Mg 0.495 0.505 0.000
10 Mg 0.495 0.990 0.000
11 Mg 0.500 0.000 0.500
12 Mg 0.500 0.500 0.500
13 Mg 0.662 0.831 0.261
14 Mg 0.662 0.831 0.739
15 Mg 0.667 0.333 0.248
16 Mg 0.667 0.333 0.752

---

No. 8
Theoretical XRD peak list of HfMg14V for λ = 1.5418 Å (Cu Kα), from a crystal structure in the Materials Project, relaxed with GGA-PBE.

Peak list (10 most intense, 10 to 80 degrees two-theta, in order of falling intensity)
- 2θ 37.19, rel. 100
- 2θ 16.14, rel. 47
- 2θ 23.81, rel. 34
- 2θ 18.35, rel. 32
- 2θ 32.61, rel. 29
- 2θ 35.20, rel. 25
- 2θ 69.86, rel. 19
- 2θ 64.47, rel. 19
- 2θ 48.73, rel. 19
- 2θ 58.19, rel. 17

Cell and atoms:
Unit cell a=6.342 b=6.342 c=10.199 alpha=90.00 beta=90.00 gamma=120.00
Fractional coordinates of all 16 atoms:
1 Hf 0.000 0.000 0.000
2 Mg 0.001 0.501 0.500
3 Mg 0.007 0.503 0.000
4 Mg 0.162 0.324 0.253
5 Mg 0.162 0.324 0.747
6 Mg 0.162 0.838 0.253
7 Mg 0.162 0.838 0.747
8 Mg 0.497 0.503 0.000
9 Mg 0.497 0.993 0.000
10 Mg 0.499 0.501 0.500
11 Mg 0.499 0.999 0.500
12 Mg 0.667 0.333 0.246
13 Mg 0.667 0.333 0.754
14 Mg 0.676 0.838 0.253
15 Mg 0.676 0.838 0.747
16 V 0.000 0.000 0.500

---

No. 9
Theoretical XRD peak list of HfMg6V for λ = 1.5418 Å (Cu Kα), from a crystal structure in the Materials Project, relaxed with GGA-PBE.

Peak list (10 most intense, 10 to 80 degrees two-theta, in order of falling intensity)
- 2θ 37.95, rel. 100
- 2θ 16.13, rel. 58
- 2θ 37.25, rel. 53
- 2θ 16.51, rel. 49
- 2θ 17.55, rel. 45
- 2θ 24.19, rel. 44
- 2θ 23.93, rel. 41
- 2θ 35.54, rel. 38
- 2θ 33.37, rel. 37
- 2θ 49.55, rel. 24

Cell and atoms:
Unit cell a=5.052 b=6.154 c=10.991 alpha=90.00 beta=90.00 gamma=90.00
Fractional coordinates of all 16 atoms:
1 Hf 0.000 0.000 0.000
2 Hf 0.000 0.500 0.500
3 Mg 0.000 0.247 0.251
4 Mg 0.000 0.253 0.751
5 Mg 0.000 0.747 0.751
6 Mg 0.000 0.753 0.251
7 Mg 0.500 0.000 0.162
8 Mg 0.500 0.000 0.659
9 Mg 0.500 0.245 0.421
10 Mg 0.500 0.255 0.921
11 Mg 0.500 0.500 0.159
12 Mg 0.500 0.500 0.662
13 Mg 0.500 0.745 0.921
14 Mg 0.500 0.755 0.421
15 V 0.000 0.000 0.500
16 V 0.000 0.500 0.000

---

No. 10
Theoretical XRD peak list of HfMg6V for λ = 1.5418 Å (Cu Kα), from a crystal structure in the Materials Project, relaxed with GGA-PBE.

Peak list (10 most intense, 10 to 80 degrees two-theta, in order of falling intensity)
- 2θ 16.26, rel. 100
- 2θ 37.68, rel. 85
- 2θ 37.31, rel. 58
- 2θ 24.31, rel. 46
- 2θ 16.05, rel. 40
- 2θ 32.85, rel. 38
- 2θ 36.37, rel. 35
- 2θ 33.56, rel. 34
- 2θ 24.17, rel. 31
- 2θ 40.05, rel. 30

Cell and atoms:
Unit cell a=4.941 b=6.271 c=11.043 alpha=90.00 beta=90.00 gamma=90.00
Fractional coordinates of all 16 atoms:
1 Hf 0.000 0.000 0.000
2 Hf 0.000 0.500 0.500
3 Mg 0.000 0.000 0.483
4 Mg 0.000 0.242 0.239
5 Mg 0.000 0.258 0.739
6 Mg 0.000 0.500 0.983
7 Mg 0.000 0.742 0.739
8 Mg 0.000 0.758 0.239
9 Mg 0.500 0.000 0.652
10 Mg 0.500 0.246 0.900
11 Mg 0.500 0.254 0.400
12 Mg 0.500 0.500 0.152
13 Mg 0.500 0.746 0.400
14 Mg 0.500 0.754 0.900
15 V 0.500 0.000 0.137
16 V 0.500 0.500 0.637

---

No. 11
Theoretical XRD peak list of HfMg14V for λ = 1.5418 Å (Cu Kα), from a crystal structure in the Materials Project, relaxed with GGA-PBE.

Peak list (10 most intense, 10 to 80 degrees two-theta, in order of falling intensity)
- 2θ 37.50, rel. 100
- 2θ 36.87, rel. 55
- 2θ 35.24, rel. 39
- 2θ 18.19, rel. 36
- 2θ 18.50, rel. 33
- 2θ 32.95, rel. 31
- 2θ 15.96, rel. 26
- 2θ 16.30, rel. 22
- 2θ 64.74, rel. 21
- 2θ 49.01, rel. 20

Cell and atoms:
Unit cell a=10.188 b=6.369 c=6.369 alpha=58.61 beta=90.00 gamma=90.00
Fractional coordinates of all 16 atoms:
1 Hf 0.000 0.000 0.000
2 Mg 0.000 0.005 0.497
3 Mg 0.000 0.497 0.005
4 Mg 0.242 0.661 0.661
5 Mg 0.245 0.168 0.665
6 Mg 0.245 0.665 0.168
7 Mg 0.250 0.162 0.162
8 Mg 0.500 0.499 0.499
9 Mg 0.500 0.500 0.998
10 Mg 0.500 0.998 0.500
11 Mg 0.500 0.998 0.998
12 Mg 0.750 0.162 0.162
13 Mg 0.755 0.168 0.665
14 Mg 0.755 0.665 0.168
15 Mg 0.758 0.661 0.661
16 V 0.000 0.499 0.499

---

No. 12
Theoretical XRD peak list of HfMg6W for λ = 1.5418 Å (Cu Kα), from a crystal structure in the Materials Project, relaxed with GGA-PBE.

Peak list (10 most intense, 10 to 80 degrees two-theta, in order of falling intensity)
- 2θ 15.77, rel. 100
- 2θ 39.38, rel. 88
- 2θ 17.54, rel. 74
- 2θ 23.68, rel. 69
- 2θ 36.60, rel. 62
- 2θ 34.97, rel. 44
- 2θ 35.52, rel. 37
- 2θ 50.70, rel. 31
- 2θ 48.69, rel. 29
- 2θ 35.85, rel. 26

Cell and atoms:
Unit cell a=5.055 b=5.768 c=11.236 alpha=90.00 beta=90.00 gamma=90.00
Fractional coordinates of all 16 atoms:
1 Hf 0.000 0.000 0.000
2 Hf 0.000 0.500 0.500
3 Mg 0.000 0.250 0.251
4 Mg 0.000 0.250 0.751
5 Mg 0.000 0.750 0.251
6 Mg 0.000 0.750 0.751
7 Mg 0.500 0.000 0.151
8 Mg 0.500 0.000 0.638
9 Mg 0.500 0.242 0.411
10 Mg 0.500 0.258 0.911
11 Mg 0.500 0.500 0.138
12 Mg 0.500 0.500 0.651
13 Mg 0.500 0.742 0.911
14 Mg 0.500 0.758 0.411
15 W 0.000 0.000 0.498
16 W 0.000 0.500 0.998